# 1
Structure and calculated X-ray powder pattern of V2CrCuBr (a cell relaxed with PBE; a wavelength of 1.5418 Å).
Neutral-atom scattering factors, no anomalous dispersion.

Largest 10 diffraction maxima, sorted by position, 2θ from 10° to 90°:
2theta	intensity
30.36	483
31.03	467
35.97	485
40.93	336
42.47	873
43.94	682
44.43	1000
46.84	523
76.28	387
83.52	373

Crystal structure
Unit cell a=3.080 b=3.157 c=8.161 alpha=90.00 beta=90.00 gamma=90.00
Sites, in units of the cell vectors:
V 0.000 0.000 0.000
V 0.500 0.500 0.159
Cr 0.500 0.500 0.838
Cu 0.000 0.000 0.340
Br 0.000 0.500 0.594

---

# 2
Structure and calculated X-ray powder pattern of CsSr2InBr8 (a cell relaxed with PBE; a wavelength of 1.5418 Å).
Neutral-atom scattering factors, no anomalous dispersion.

Largest 10 diffraction maxima, sorted by position, 2θ from 10° to 90°:
2theta	intensity
17.81	841
17.99	643
22.41	646
25.68	519
25.82	755
28.20	505
34.12	1000
34.33	974
37.22	447
42.68	554

Crystal structure
Unit cell a=6.946 b=7.072 c=9.665 alpha=89.95 beta=89.92 gamma=89.40
Sites, in units of the cell vectors:
Cs 0.000 0.000 0.000
Sr 0.500 0.500 0.256
Sr 0.500 0.500 0.744
In 0.000 0.000 0.500
Br 0.232 0.851 0.696
Br 0.233 0.852 0.304
Br 0.243 0.326 0.500
Br 0.262 0.408 0.000
Br 0.738 0.592 0.000
Br 0.757 0.674 0.500
Br 0.767 0.148 0.696
Br 0.768 0.149 0.304